Structure and calculated PXRD pattern of LiRu2N3 (a cell relaxed with GGA-PBE; Cu Kα X-rays).

Top 8 peaks for 10° ≤ 2θ ≤ 80°, low angle first:
- 2θ 18.14, d 4.890, intensity 59
- 2θ 24.77, d 3.594, intensity 86
- 2θ 31.62, d 2.830, intensity 45
- 2θ 34.10, d 2.629, intensity 56
- 2θ 35.84, d 2.505, intensity 51
- 2θ 36.04, d 2.492, intensity 100
- 2θ 56.03, d 1.641, intensity 31
- 2θ 62.31, d 1.490, intensity 30

Structure:
abc: 5.6595 5.6595 5.2581
angles: 90.00 90.00 60.47
Atoms (fractional coordinates):
Li (0.1658, 0.8342, 0.5000)
Li (0.8342, 0.1658, 0.0000)
Ru (0.1666, 0.5003, 0.0007)
Ru (0.5003, 0.1666, 0.5007)
Ru (0.4997, 0.8334, 0.0007)
Ru (0.8334, 0.4997, 0.5007)
N (0.1664, 0.4742, 0.6281)
N (0.1911, 0.8089, 0.0899)
N (0.4742, 0.1664, 0.1281)
N (0.5258, 0.8336, 0.6281)
N (0.8089, 0.1911, 0.5899)
N (0.8336, 0.5258, 0.1281)


Structure and calculated PXRD pattern of Li3RuN2 (a cell relaxed with GGA-PBE; Cu Kα X-rays).

Top 8 peaks for 10° ≤ 2θ ≤ 80°, low angle first:
- 2θ 15.40, d 5.755, intensity 100
- 2θ 22.63, d 3.930, intensity 78
- 2θ 23.38, d 3.805, intensity 58
- 2θ 28.72, d 3.109, intensity 90
- 2θ 32.75, d 2.735, intensity 45
- 2θ 36.87, d 2.438, intensity 42
- 2θ 37.36, d 2.407, intensity 55
- 2θ 41.07, d 2.198, intensity 43

Structure:
abc: 8.7864 8.7864 8.7864
angles: 138.56 138.56 60.05
Atoms (fractional coordinates):
Li (0.0781, 0.3281, 0.1561)
Li (0.0781, 0.9219, 0.7500)
Li (0.2683, 0.5183, 0.7500)
Li (0.3281, 0.0781, 0.6561)
Li (0.3281, 0.6719, 0.2500)
Li (0.4817, 0.7317, 0.7500)
Li (0.5183, 0.2683, 0.2500)
Li (0.6719, 0.3281, 0.7500)
Li (0.6719, 0.9219, 0.3439)
Li (0.7317, 0.4817, 0.2500)
Li (0.9219, 0.0781, 0.2500)
Li (0.9219, 0.6719, 0.8439)
Ru (0.0154, 0.2654, 0.7500)
Ru (0.2654, 0.0154, 0.2500)
Ru (0.7346, 0.9846, 0.7500)
Ru (0.9846, 0.7346, 0.2500)
N (0.0344, 0.3907, 0.6437)
N (0.2470, 0.3907, 0.8563)
N (0.3907, 0.0344, 0.1437)
N (0.3907, 0.2470, 0.3563)
N (0.6093, 0.7530, 0.6437)
N (0.6093, 0.9656, 0.8563)
N (0.7530, 0.6093, 0.1437)
N (0.9656, 0.6093, 0.3563)


Structure and calculated PXRD pattern of LiRuN2 (a cell relaxed with GGA-PBE; Cu Kα X-rays).

Top 8 peaks for 10° ≤ 2θ ≤ 80°, low angle first:
- 2θ 20.72, d 4.286, intensity 83
- 2θ 21.40, d 4.152, intensity 100
- 2θ 31.36, d 2.852, intensity 26
- 2θ 33.61, d 2.666, intensity 35
- 2θ 35.70, d 2.515, intensity 65
- 2θ 36.10, d 2.488, intensity 24
- 2θ 39.82, d 2.264, intensity 23
- 2θ 61.46, d 1.509, intensity 23

Structure:
abc: 5.6257 6.6180 5.3327
angles: 90.00 90.00 90.00
Atoms (fractional coordinates):
Li (0.0812, 0.1227, 0.0000)
Li (0.4188, 0.6227, 0.5000)
Li (0.5812, 0.3773, 0.0000)
Li (0.9188, 0.8773, 0.5000)
Ru (0.0740, 0.6267, 0.0050)
Ru (0.4260, 0.1267, 0.5050)
Ru (0.5740, 0.8733, 0.0050)
Ru (0.9260, 0.3733, 0.5050)
N (0.0612, 0.6038, 0.3572)
N (0.1047, 0.1442, 0.4042)
N (0.3953, 0.6442, 0.9042)
N (0.4388, 0.1038, 0.8572)
N (0.5612, 0.8962, 0.3572)
N (0.6047, 0.3558, 0.4042)
N (0.8953, 0.8558, 0.9042)
N (0.9388, 0.3962, 0.8572)